No. 1
Computed powder XRD pattern
Compound: LiV3Fe2CuO12
Radiation: CuKα
Structure: a DFT-relaxed cell (GGA+U, the Materials Project)

Main lines, by angle (5° ≤ 2θ ≤ 70°):
| two_theta | I_rel |
| --- | --- |
| 11.8 | 55 |
| 12.3 | 55 |
| 23.7 | 35 |
| 27.2 | 72 |
| 27.5 | 46 |
| 27.6 | 100 |
| 28.2 | 41 |
| 28.9 | 99 |
| 54.2 | 24 |
| 54.8 | 29 |

Structural model:
```
data_LiV3Fe2CuO12
_cell_length_a 6.715
_cell_length_b 8.239
_cell_length_c 9.965
_cell_angle_alpha 107.06
_cell_angle_beta 103.50
_cell_angle_gamma 102.47
_space_group_name_H-M_alt 'P 1'
_space_group_IT_number 1
loop_
_space_group_symop_operation_xyz
'x,y,z'
loop_
_atom_site_label
_atom_site_type_symbol
_atom_site_fract_x
_atom_site_fract_y
_atom_site_fract_z
Li1 Li 0.000 0.000 0.000
Li2 Li 0.456 0.054 0.097
V1 V 0.174 0.880 0.311
V2 V 0.281 0.435 0.238
V3 V 0.516 0.646 0.913
V4 V 0.620 0.206 0.841
V5 V 0.809 0.271 0.452
V6 V 0.986 0.813 0.700
Fe1 Fe 0.020 0.596 0.971
Fe2 Fe 0.355 0.339 0.563
Fe3 Fe 0.444 0.747 0.590
Fe4 Fe 0.777 0.488 0.184
Cu1 Cu 0.120 0.258 0.782
Cu2 Cu 0.667 0.823 0.362
O1 O 0.060 0.314 0.586
O2 O 0.068 0.510 0.154
O3 O 0.076 0.037 0.819
O4 O 0.165 0.849 0.126
O5 O 0.168 0.761 0.613
O6 O 0.216 0.099 0.399
O7 O 0.234 0.217 0.146
O8 O 0.273 0.536 0.929
O9 O 0.317 0.481 0.429
O10 O 0.394 0.822 0.409
O11 O 0.398 0.259 0.741
O12 O 0.478 0.601 0.720
O13 O 0.523 0.553 0.225
O14 O 0.575 0.864 0.000
O15 O 0.585 0.987 0.756
O16 O 0.622 0.242 0.024
O17 O 0.633 0.329 0.546
O18 O 0.702 0.049 0.338
O19 O 0.730 0.573 0.999
O20 O 0.737 0.769 0.566
O21 O 0.832 0.391 0.336
O22 O 0.878 0.321 0.841
O23 O 0.918 0.766 0.312
O24 O 0.958 0.705 0.825
```

No. 2
Computed powder XRD pattern
Compound: MgCr3S6O24
Radiation: CuKα
Structure: a DFT-relaxed cell (GGA+U, the Materials Project)

Main lines, by angle (5° ≤ 2θ ≤ 70°):
| two_theta | I_rel |
| --- | --- |
| 12.2 | 14 |
| 14.6 | 24 |
| 20.4 | 18 |
| 24.5 | 100 |
| 29.5 | 20 |
| 32.6 | 30 |
| 32.8 | 12 |
| 37.0 | 11 |
| 39.1 | 9 |
| 50.2 | 8 |

Structural model:
```
data_MgCr3S6O24
_cell_length_a 8.408
_cell_length_b 8.408
_cell_length_c 8.715
_cell_angle_alpha 61.18
_cell_angle_beta 61.16
_cell_angle_gamma 60.00
_space_group_name_H-M_alt 'P 1'
_space_group_IT_number 1
loop_
_space_group_symop_operation_xyz
'x,y,z'
loop_
_atom_site_label
_atom_site_type_symbol
_atom_site_fract_x
_atom_site_fract_y
_atom_site_fract_z
Mg1 Mg 0.000 0.000 0.000
Cr1 Cr 0.315 0.315 0.055
Cr2 Cr 0.614 0.614 0.158
Cr3 Cr 0.824 0.823 0.530
S1 S 0.006 0.428 0.858
S2 S 0.209 0.924 0.352
S3 S 0.428 0.707 0.858
S4 S 0.515 0.208 0.352
S5 S 0.708 0.006 0.858
S6 S 0.925 0.514 0.352
O1 O 0.081 0.853 0.341
O2 O 0.083 0.227 0.860
O3 O 0.118 0.491 0.204
O4 O 0.137 0.462 0.897
O5 O 0.158 0.932 0.531
O6 O 0.187 0.118 0.203
O7 O 0.228 0.829 0.861
O8 O 0.379 0.157 0.531
O9 O 0.415 0.790 0.301
O10 O 0.451 0.737 0.003
O11 O 0.463 0.503 0.897
O12 O 0.492 0.186 0.203
O13 O 0.494 0.414 0.301
O14 O 0.503 0.137 0.897
O15 O 0.572 0.766 0.678
O16 O 0.725 0.081 0.340
O17 O 0.738 0.809 0.002
O18 O 0.767 0.984 0.678
O19 O 0.791 0.493 0.301
O20 O 0.809 0.450 0.002
O21 O 0.829 0.082 0.861
O22 O 0.853 0.724 0.341
O23 O 0.932 0.378 0.531
O24 O 0.984 0.571 0.678
```

No. 3
Computed powder XRD pattern
Compound: LiZn2Fe4O8
Radiation: CuKα
Structure: a DFT-relaxed cell (GGA+U, the Materials Project)

Main lines, by angle (5° ≤ 2θ ≤ 70°):
| two_theta | I_rel |
| --- | --- |
| 18.3 | 45 |
| 33.7 | 56 |
| 34.7 | 44 |
| 34.8 | 79 |
| 35.0 | 100 |
| 35.2 | 96 |
| 35.4 | 60 |
| 42.2 | 86 |
| 60.0 | 63 |
| 63.1 | 67 |

Structural model:
```
data_LiZn2Fe4O8
_cell_length_a 10.173
_cell_length_b 5.942
_cell_length_c 6.205
_cell_angle_alpha 90.00
_cell_angle_beta 123.63
_cell_angle_gamma 90.00
_space_group_name_H-M_alt 'C 1 2/m 1'
_space_group_IT_number 12
loop_
_space_group_symop_operation_xyz
'x,y,z'
'-x,-y,-z'
'-x,y,-z'
'x,-y,z'
'x+1/2,y+1/2,z'
'-x+1/2,-y+1/2,-z'
'-x+1/2,y+1/2,-z'
'x+1/2,-y+1/2,z'
loop_
_atom_site_label
_atom_site_type_symbol
_atom_site_fract_x
_atom_site_fract_y
_atom_site_fract_z
Li1 Li 0.000 0.000 0.000
Zn1 Zn 0.000 0.500 0.000
Zn2 Zn 0.000 0.500 0.500
Fe1 Fe 0.141 0.000 0.437
Fe2 Fe 0.250 0.250 0.000
O1 O 0.005 0.244 0.751
O2 O 0.237 0.500 0.199
O3 O 0.243 0.000 0.244
```

No. 4
Computed powder XRD pattern
Compound: MgMn5NiO12
Radiation: CuKα
Structure: a DFT-relaxed cell (GGA+U, the Materials Project)

Main lines, by angle (5° ≤ 2θ ≤ 70°):
| two_theta | I_rel |
| --- | --- |
| 17.7 | 100 |
| 35.8 | 7 |
| 36.5 | 9 |
| 37.6 | 7 |
| 38.8 | 7 |
| 41.7 | 11 |
| 42.3 | 7 |
| 44.1 | 8 |
| 47.4 | 7 |
| 49.2 | 7 |

Structural model:
```
data_MgMn5NiO12
_cell_length_a 5.032
_cell_length_b 5.104
_cell_length_c 10.083
_cell_angle_alpha 83.58
_cell_angle_beta 85.08
_cell_angle_gamma 60.64
_space_group_name_H-M_alt 'P 1'
_space_group_IT_number 1
loop_
_space_group_symop_operation_xyz
'x,y,z'
loop_
_atom_site_label
_atom_site_type_symbol
_atom_site_fract_x
_atom_site_fract_y
_atom_site_fract_z
Mg1 Mg 0.000 0.000 0.000
Mn1 Mn 0.152 0.900 0.727
Mn2 Mn 0.488 0.232 0.740
Mn3 Mn 0.635 0.966 0.248
Mn4 Mn 0.815 0.567 0.736
Mn5 Mn 0.966 0.298 0.247
Ni1 Ni 0.302 0.631 0.247
O1 O 0.143 0.198 0.840
O2 O 0.163 0.576 0.642
O3 O 0.295 0.284 0.338
O4 O 0.300 0.976 0.145
O5 O 0.470 0.555 0.835
O6 O 0.491 0.928 0.641
O7 O 0.625 0.614 0.338
O8 O 0.680 0.280 0.136
O9 O 0.818 0.912 0.848
O10 O 0.822 0.222 0.634
O11 O 0.934 0.974 0.345
O12 O 0.983 0.660 0.145
```

No. 5
Computed powder XRD pattern
Compound: MgZn2Co2O6
Radiation: CuKα
Structure: a DFT-relaxed cell (GGA+U, the Materials Project)

Main lines, by angle (5° ≤ 2θ ≤ 70°):
| two_theta | I_rel |
| --- | --- |
| 23.4 | 59 |
| 32.9 | 95 |
| 33.8 | 100 |
| 34.2 | 83 |
| 35.7 | 43 |
| 36.0 | 63 |
| 36.3 | 80 |
| 47.0 | 35 |
| 48.8 | 39 |
| 58.6 | 30 |

Structural model:
```
data_MgZn2Co2O6
_cell_length_a 5.053
_cell_length_b 5.287
_cell_length_c 5.623
_cell_angle_alpha 69.24
_cell_angle_beta 69.20
_cell_angle_gamma 63.60
_space_group_name_H-M_alt 'P -1'
_space_group_IT_number 2
loop_
_space_group_symop_operation_xyz
'x,y,z'
'-x,-y,-z'
loop_
_atom_site_label
_atom_site_type_symbol
_atom_site_fract_x
_atom_site_fract_y
_atom_site_fract_z
Mg1 Mg 0.000 0.000 0.000
Zn1 Zn 0.161 0.222 0.432
Co1 Co 0.439 0.367 0.842
O1 O 0.119 0.377 0.753
O2 O 0.202 0.901 0.291
O3 O 0.441 0.741 0.814
```